[1]
This entry pairs a crystal structure of Ag5S4Br3 with its calculated powder X-ray diffraction pattern. Radiation: copper Kα. Structure: a structure optimized by DFT (GGA-PBE).
Lines closer than 0.1° are merged.

Principal peaks in the range 10 to 90 degrees two-theta, most intense first:
- 25.71°, I = 100, hkl 0 3 1
- 27.85°, I = 52, hkl 2 1 1
- 39.37°, I = 49, hkl 2 2 2
- 45.71°, I = 34, hkl 2 5 1
- 34.68°, I = 33, hkl 3 0 0
- 36.48°, I = 27, hkl 2 0 2
- 19.39°, I = 17, hkl 1 1 1
- 43.85°, I = 17, hkl 0 6 0
- 14.30°, I = 17, hkl 0 2 0
- 54.14°, I = 16, hkl 4 3 1

Atomic structure:
abc: 7.768 12.388 6.371
angles: 90.00 90.00 90.00
Space group Amm2 (No. 38)
Asymmetric unit:
Ag1 0.000 0.000 0.000
Ag2 0.282 0.184 0.457
S1 0.224 0.000 0.271
S2 0.500 0.210 0.754
Br1 0.000 0.169 0.722
Br2 0.500 0.000 0.112



[2]
This entry pairs a crystal structure of AgS6Br with its calculated powder X-ray diffraction pattern. Radiation: copper Kα. Structure: a structure optimized by DFT (GGA-PBE).
Lines closer than 0.1° are merged.

Principal peaks in the range 10 to 90 degrees two-theta, most intense first:
- 33.46°, I = 100, hkl 3 1 1
- 44.46°, I = 87, hkl 3 3 1
- 28.42°, I = 78, hkl 2 2 0
- 40.63°, I = 77, hkl 4 0 0
- 17.29°, I = 70, hkl 1 1 1
- 19.99°, I = 53, hkl 2 0 0
- 58.81°, I = 38, hkl 4 4 0
- 53.61°, I = 35, hkl 3 3 3
- 83.62°, I = 30, hkl 7 3 1
- 66.59°, I = 27, hkl 6 2 0

Atomic structure:
abc: 8.882 8.882 8.882
angles: 90.00 90.00 90.00
Space group F-43m (No. 216)
Asymmetric unit:
Ag1 0.000 0.000 0.000
S1 0.000 0.000 0.298
Br1 0.250 0.250 0.750



[3]
This entry pairs a crystal structure of Tl2AgSnBr6 with its calculated powder X-ray diffraction pattern. Radiation: copper Kα. Structure: a structure optimized by DFT (GGA-PBE).
Lines closer than 0.1° are merged.

Principal peaks in the range 10 to 90 degrees two-theta, most intense first:
- 28.21°, I = 100, hkl 2 0 2
- 33.06°, I = 97, hkl 2 2 0
- 22.82°, I = 92, hkl 1 1 2
- 40.55°, I = 81, hkl 1 3 2
- 23.21°, I = 80, hkl 2 0 0
- 46.62°, I = 74, hkl 2 2 4
- 31.93°, I = 72, hkl 0 0 4
- 39.85°, I = 40, hkl 2 0 4
- 63.64°, I = 40, hkl 4 2 4
- 53.47°, I = 34, hkl 4 2 0

Atomic structure:
abc: 7.664 7.664 11.212
angles: 90.00 90.00 90.00
Space group I4/m (No. 87)
Asymmetric unit:
Tl1 0.000 0.500 0.250
Ag1 0.000 0.000 0.000
Sn1 0.000 0.000 0.500
Br1 0.000 0.000 0.249
Br2 0.187 0.310 0.000



[4]
This entry pairs a crystal structure of Tl2AgBr3 with its calculated powder X-ray diffraction pattern. Radiation: copper Kα. Structure: a structure optimized by DFT (GGA-PBE).
Lines closer than 0.1° are merged.

Principal peaks in the range 10 to 90 degrees two-theta, most intense first:
- 33.19°, I = 100, hkl 1 1 6
- 28.86°, I = 59, hkl 1 2 2
- 31.05°, I = 57, hkl 3 0 0
- 22.58°, I = 40, hkl 2 -1 3
- 46.07°, I = 26, hkl 4 -2 6
- 27.82°, I = 16, hkl 0 0 6
- 38.72°, I = 16, hkl 2 2 3
- 46.91°, I = 15, hkl 1 2 8
- 21.07°, I = 13, hkl 0 2 1
- 42.13°, I = 10, hkl 4 -3 4

Atomic structure:
abc: 9.9800 9.9800 19.2409
angles: 90.00 90.00 120.00
Space group R-3 (No. 148, hexagonal axes)
Asymmetric unit:
Tl1 0.0342 0.7370 0.4098
Ag1 0.0000 0.0000 0.0000
Ag2 0.0000 0.0000 0.1636
Br1 0.0000 0.0000 0.3000
Br2 0.0000 0.0000 0.5000
Br3 0.0049 0.7618 0.9102